[1]
This entry pairs a crystal structure of Sm2DyP3 with its computed powder XRD pattern. Radiation: Cu Kα (weighted mean of Kα1 and Kα2). Structure: a DFT-relaxed cell (PBE, OQMD).
Kinematic intensities with the Lorentz-polarization factor, no thermal factor.

Cell and atoms:
Unit cell a=4.0740 b=4.0740 c=9.9696 alpha=90.00 beta=90.00 gamma=120.00
Space group P-3m1 (No. 164)
Asymmetric unit:
Sm 0.3333 0.6667 0.3309
Dy 0.0000 0.0000 0.0000
P 0.0000 0.0000 0.5000
P 0.3333 0.6667 0.8385

The 10 most intense peaks (10° ≤ 2θ ≤ 90°), in order of rising 2θ:
two_theta	I/Imax
26.81	83.9
31.05	100.0
44.49	73.1
52.71	41.3
55.25	25.6
64.74	11.9
71.38	16.7
73.54	32.8
81.95	24.8
88.13	13.1



[2]
This entry pairs a crystal structure of TbDyZr2P2 with its computed powder XRD pattern. Radiation: Cu Kα (weighted mean of Kα1 and Kα2). Structure: a DFT-relaxed cell (PBE, OQMD).
Kinematic intensities with the Lorentz-polarization factor, no thermal factor.

Cell and atoms:
Unit cell a=4.020 b=4.020 c=15.551 alpha=90.00 beta=90.00 gamma=90.00
Space group I4mm (No. 107)
Asymmetric unit:
Tb 0.000 0.000 0.000
Dy 0.000 0.000 0.357
Zr 0.000 0.500 0.179
P 0.000 0.000 0.548
P 0.000 0.000 0.809

The 10 most intense peaks (10° ≤ 2θ ≤ 90°), in order of rising 2θ:
two_theta	I/Imax
28.09	71.4
33.57	100.0
34.61	36.2
36.53	41.7
39.26	43.7
45.10	46.0
53.98	24.2
57.43	24.2
58.08	42.7
76.44	23.7



[3]
This entry pairs a crystal structure of DyTm2P3 with its computed powder XRD pattern. Radiation: Cu Kα (weighted mean of Kα1 and Kα2). Structure: a DFT-relaxed cell (PBE, OQMD).
Kinematic intensities with the Lorentz-polarization factor, no thermal factor.

Cell and atoms:
Unit cell a=3.9673 b=3.9673 c=9.7076 alpha=90.00 beta=90.00 gamma=120.00
Space group P-3m1 (No. 164)
Asymmetric unit:
Dy 0.0000 0.0000 0.0000
Tm 0.3333 0.6667 0.3346
P 0.0000 0.0000 0.5000
P 0.3333 0.6667 0.8302

The 9 most intense peaks (10° ≤ 2θ ≤ 90°), in order of rising 2θ:
two_theta	I/Imax
27.55	89.7
31.91	100.0
45.76	72.9
54.24	43.6
56.87	25.5
66.71	11.8
73.62	17.6
75.86	32.8
84.66	25.2



[4]
This entry pairs a crystal structure of DyZn3P3 with its computed powder XRD pattern. Radiation: Cu Kα (weighted mean of Kα1 and Kα2). Structure: a DFT-relaxed cell (PBE, OQMD).
Kinematic intensities with the Lorentz-polarization factor, no thermal factor.

Cell and atoms:
Unit cell a=3.9916 b=3.9916 c=19.8073 alpha=90.00 beta=90.00 gamma=120.00
Space group P6_3/mmc (No. 194)
Asymmetric unit:
Dy 0.0000 0.0000 0.0000
Zn 0.3333 0.6667 0.1284
Zn 0.3333 0.6667 0.7500
P 0.3333 0.6667 0.2500
P 0.3333 0.6667 0.5837

The 10 most intense peaks (10° ≤ 2θ ≤ 90°), in order of rising 2θ:
two_theta	I/Imax
27.33	100.0
31.56	66.8
34.43	34.6
36.28	28.0
37.68	58.3
45.45	67.8
53.30	17.5
53.84	15.2
59.49	38.6
60.46	14.4



[5]
This entry pairs a crystal structure of Dy2Pb with its computed powder XRD pattern. Radiation: Cu Kα (weighted mean of Kα1 and Kα2). Structure: a DFT-relaxed cell (PBE, OQMD).
Kinematic intensities with the Lorentz-polarization factor, no thermal factor.

Cell and atoms:
Unit cell a=13.483 b=13.483 c=13.483 alpha=90.00 beta=90.00 gamma=90.00
Space group Fd-3m (No. 227, origin choice 2)
Asymmetric unit:
Dy 0.000 0.000 0.000
Pb 0.125 0.125 0.125

The 10 most intense peaks (10° ≤ 2θ ≤ 90°), in order of rising 2θ:
two_theta	I/Imax
11.37	100.0
18.61	22.5
22.85	23.4
28.86	35.4
32.53	11.8
37.74	26.0
39.54	30.9
44.58	12.1
48.20	17.7
62.79	12.1



[6]
This entry pairs a crystal structure of Dy5Pb4 with its computed powder XRD pattern. Radiation: Cu Kα (weighted mean of Kα1 and Kα2). Structure: a DFT-relaxed cell (PBE, OQMD).
Kinematic intensities with the Lorentz-polarization factor, no thermal factor.

Cell and atoms:
Unit cell a=8.184 b=15.586 c=8.254 alpha=90.00 beta=90.00 gamma=90.00
Space group Pnma (No. 62)
Asymmetric unit:
Dy 0.035 0.100 0.176
Dy 0.124 0.621 0.342
Dy 0.209 0.250 0.503
Pb 0.071 0.250 0.876
Pb 0.154 0.750 0.652
Pb 0.218 0.043 0.534

The 10 most intense peaks (10° ≤ 2θ ≤ 90°), in order of rising 2θ:
two_theta	I/Imax
29.72	100.0
29.83	39.2
30.77	35.7
31.58	25.5
32.60	31.4
33.54	74.7
34.53	27.0
34.63	34.4
34.88	55.5
35.12	32.9



[7]
This entry pairs a crystal structure of Dy2PdPb6 with its computed powder XRD pattern. Radiation: Cu Kα (weighted mean of Kα1 and Kα2). Structure: a DFT-relaxed cell (PBE, OQMD).
Kinematic intensities with the Lorentz-polarization factor, no thermal factor.

Cell and atoms:
Unit cell a=4.579 b=23.448 c=4.662 alpha=90.00 beta=90.00 gamma=90.00
Space group Cmmm (No. 65)
Asymmetric unit:
Dy 0.000 0.185 0.000
Pd 0.000 0.500 0.500
Pb 0.000 0.076 0.500
Pb 0.000 0.298 0.500
Pb 0.000 0.425 0.000

The 10 most intense peaks (10° ≤ 2θ ≤ 90°), in order of rising 2θ:
two_theta	I/Imax
29.64	28.6
30.50	22.3
33.43	100.0
38.62	24.2
39.35	23.0
56.32	16.4
58.45	17.1
65.41	13.8
66.60	14.1
67.60	13.5



[8]
This entry pairs a crystal structure of Tb2DyPdPt2Pb3 with its computed powder XRD pattern. Radiation: Cu Kα (weighted mean of Kα1 and Kα2). Structure: a DFT-relaxed cell (PBE, OQMD).
Kinematic intensities with the Lorentz-polarization factor, no thermal factor.

Cell and atoms:
Unit cell a=3.960 b=13.469 c=7.782 alpha=90.00 beta=90.00 gamma=90.00
Space group Amm2 (No. 38)
Asymmetric unit:
Tb 0.000 0.203 0.000
Dy 0.000 0.000 0.610
Pd 0.000 0.000 0.204
Pt 0.500 0.166 0.703
Pb 0.500 0.000 0.942
Pb 0.500 0.131 0.334

The 10 most intense peaks (10° ≤ 2θ ≤ 90°), in order of rising 2θ:
two_theta	I/Imax
32.26	100.0
34.97	77.9
35.25	54.5
40.15	43.6
42.19	32.7
45.82	25.1
59.10	25.2
62.54	24.0
64.75	34.8
83.55	11.2



[9]
This entry pairs a crystal structure of DyY2Pd2PtPb3 with its computed powder XRD pattern. Radiation: Cu Kα (weighted mean of Kα1 and Kα2). Structure: a DFT-relaxed cell (PBE, OQMD).
Kinematic intensities with the Lorentz-polarization factor, no thermal factor.

Cell and atoms:
Unit cell a=3.937 b=13.491 c=7.801 alpha=90.00 beta=90.00 gamma=90.00
Space group Amm2 (No. 38)
Asymmetric unit:
Dy 0.000 0.000 0.000
Y 0.000 0.199 0.597
Pd 0.500 0.166 0.899
Pt 0.000 0.000 0.397
Pb 0.500 0.000 0.666
Pb 0.500 0.134 0.264

The 10 most intense peaks (10° ≤ 2θ ≤ 90°), in order of rising 2θ:
two_theta	I/Imax
13.12	26.8
32.32	100.0
35.02	74.6
35.17	42.2
40.07	50.5
42.21	46.2
46.12	23.6
59.29	19.0
62.71	27.1
64.68	39.0



[10]
This entry pairs a crystal structure of Tb2DyPd3Pb3 with its computed powder XRD pattern. Radiation: Cu Kα (weighted mean of Kα1 and Kα2). Structure: a DFT-relaxed cell (PBE, OQMD).
Kinematic intensities with the Lorentz-polarization factor, no thermal factor.

Cell and atoms:
Unit cell a=3.881 b=13.586 c=7.850 alpha=90.00 beta=90.00 gamma=90.00
Space group Amm2 (No. 38)
Asymmetric unit:
Tb 0.000 0.201 0.000
Dy 0.000 0.000 0.398
Pd 0.000 0.000 0.799
Pd 0.500 0.166 0.299
Pb 0.500 0.000 0.066
Pb 0.500 0.133 0.666

The 10 most intense peaks (10° ≤ 2θ ≤ 90°), in order of rising 2θ:
two_theta	I/Imax
32.45	100.0
34.93	47.9
35.10	59.8
39.79	37.9
42.19	22.4
46.81	19.7
59.72	20.9
63.08	19.6
64.40	31.2
82.92	10.1



[11]
This entry pairs a crystal structure of TbDyPd2Pb with its computed powder XRD pattern. Radiation: Cu Kα (weighted mean of Kα1 and Kα2). Structure: a DFT-relaxed cell (PBE, OQMD).
Kinematic intensities with the Lorentz-polarization factor, no thermal factor.

Cell and atoms:
Unit cell a=3.639 b=4.238 c=14.977 alpha=90.00 beta=90.00 gamma=90.00
Space group Amm2 (No. 38)
Asymmetric unit:
Tb 0.000 0.000 0.000
Dy 0.000 0.000 0.730
Pd 0.500 0.000 0.173
Pd 0.500 0.000 0.558
Pb 0.500 0.000 0.365

The 10 most intense peaks (10° ≤ 2θ ≤ 90°), in order of rising 2θ:
two_theta	I/Imax
27.61	24.3
32.99	100.0
34.37	53.6
35.98	16.3
36.74	48.4
37.21	18.5
42.66	27.9
50.14	17.5
55.89	27.0
63.75	19.4



[12]
This entry pairs a crystal structure of PrDyZn2Pb2 with its computed powder XRD pattern. Radiation: Cu Kα (weighted mean of Kα1 and Kα2). Structure: a DFT-relaxed cell (PBE, OQMD).
Kinematic intensities with the Lorentz-polarization factor, no thermal factor.

Cell and atoms:
Unit cell a=4.6250 b=4.6250 c=16.4969 alpha=90.00 beta=90.00 gamma=120.00
Space group P6_3/mmc (No. 194)
Asymmetric unit:
Pr 0.0000 0.0000 0.0000
Dy 0.0000 0.0000 0.2500
Zn 0.3333 0.6667 0.1676
Pb 0.3333 0.6667 0.6157

The 10 most intense peaks (10° ≤ 2θ ≤ 90°), in order of rising 2θ:
two_theta	I/Imax
22.85	11.7
27.55	40.5
31.13	100.0
38.95	70.0
44.61	25.4
50.67	25.9
60.12	19.3
65.70	23.8
70.54	12.3
74.49	11.6